# 1
# NdSm3Dy6
Calculated powder diffractogram, Cu Kα, 1.54184 Å. Input: the GGA-PBE geometry in Alexandria.
Neutral-atom scattering factors, no anomalous dispersion.

Cell: 11.005 11.005 6.269 Å, 90.00 90.00 119.59°
Fractional positions:
Nd 0.202 0.798 0.500
Nd 0.798 0.202 0.000
Sm 0.062 0.285 0.675
Sm 0.285 0.062 0.175
Sm 0.390 0.610 0.567
Sm 0.610 0.390 0.067
Sm 0.715 0.938 0.675
Sm 0.938 0.715 0.175
Dy 0.043 0.957 0.739
Dy 0.044 0.465 0.266
Dy 0.279 0.721 0.995
Dy 0.288 0.381 0.097
Dy 0.381 0.288 0.597
Dy 0.465 0.044 0.766
Dy 0.535 0.956 0.266
Dy 0.619 0.712 0.097
Dy 0.712 0.619 0.597
Dy 0.721 0.279 0.495
Dy 0.956 0.535 0.766
Dy 0.957 0.043 0.239

Peak list (8 most intense, 5 to 70 degrees two-theta, low angle first)
Position (°2θ)	intensity
28.51	99
30.00	32
31.47	71
31.63	100
32.84	26
34.20	59
40.35	23
59.82	26

# 2
# Tb2NdSmDy2
Calculated powder diffractogram, Cu Kα, 1.54184 Å. Input: the GGA-PBE geometry in Alexandria.
Neutral-atom scattering factors, no anomalous dispersion.

Cell: 6.603 17.880 3.403 Å, 90.00 90.00 90.00°
Fractional positions:
Tb 0.226 0.185 0.000
Tb 0.274 0.685 0.500
Tb 0.726 0.315 0.500
Tb 0.774 0.815 0.000
Nd 0.000 0.000 0.000
Nd 0.500 0.500 0.500
Sm 0.000 0.500 0.000
Sm 0.500 0.000 0.500
Dy 0.224 0.351 0.500
Dy 0.276 0.851 0.000
Dy 0.724 0.149 0.000
Dy 0.776 0.649 0.500

Peak list (8 most intense, 5 to 70 degrees two-theta, low angle first)
Position (°2θ)	intensity
26.66	33
28.83	100
29.99	82
30.24	93
31.21	36
33.75	60
35.84	36
40.99	71

# 3
# TbNd2SmDy
Calculated powder diffractogram, Cu Kα, 1.54184 Å. Input: the GGA-PBE geometry in Alexandria.
Neutral-atom scattering factors, no anomalous dispersion.

Cell: 8.212 6.753 6.225 Å, 90.00 90.11 90.00°
Fractional positions:
Tb 0.000 0.080 0.250
Tb 0.000 0.920 0.750
Nd 0.304 0.194 0.749
Nd 0.304 0.806 0.249
Nd 0.696 0.194 0.751
Nd 0.696 0.806 0.251
Sm 0.000 0.500 0.000
Sm 0.000 0.500 0.500
Dy 0.500 0.341 0.250
Dy 0.500 0.659 0.750

Peak list (8 most intense, 5 to 70 degrees two-theta, low angle first)
Position (°2θ)	intensity
28.63	72
29.22	100
32.07	52
33.53	46
38.31	23
46.16	35
51.15	21
55.09	25

# 4
# TbNdSm2Dy2
Calculated powder diffractogram, Cu Kα, 1.54184 Å. Input: the GGA-PBE geometry in Alexandria.
Neutral-atom scattering factors, no anomalous dispersion.

Cell: 6.630 17.959 3.410 Å, 90.00 90.00 90.00°
Fractional positions:
Tb 0.000 0.000 0.000
Tb 0.500 0.500 0.500
Nd 0.000 0.500 0.000
Nd 0.500 0.000 0.500
Sm 0.231 0.185 0.000
Sm 0.269 0.685 0.500
Sm 0.731 0.315 0.500
Sm 0.769 0.815 0.000
Dy 0.230 0.352 0.500
Dy 0.270 0.852 0.000
Dy 0.730 0.148 0.000
Dy 0.770 0.648 0.500

Peak list (8 most intense, 5 to 70 degrees two-theta, low angle first)
Position (°2θ)	intensity
26.61	37
28.71	100
29.85	79
30.17	82
31.13	39
33.61	64
35.73	36
40.85	75